No. 1
Starting from a cell relaxed with GGA-PBE, the PXRD pattern of Nd3Ga2Si2 was computed for Cu Kα, 1.54184 Å.
Lines closer than 0.1° are merged.

Largest 10 diffraction maxima, low angle first, 10° ≤ 2θ ≤ 90°:
2θ (°)	Rel. int.
26.26	24
31.52	100
40.63	14
41.06	15
44.67	12
49.40	9
55.70	14
59.14	9
62.28	9
68.86	10

```
Nd3Ga2Si2
1.0
-2.029 2.198 9.285
2.029 -2.198 9.285
2.029 2.198 -9.285
Nd Ga Si
3 2 2
Direct
0.000 0.000 0.000
0.186 0.686 0.500
0.814 0.314 0.500
0.434 0.434 0.000
0.566 0.566 0.000
0.356 0.856 0.500
0.644 0.144 0.500
```


No. 2
Starting from a cell relaxed with GGA-PBE, the PXRD pattern of Li2NdYGe2 was computed for Cu Kα, 1.54184 Å.
Lines closer than 0.1° are merged.

Largest 10 diffraction maxima, low angle first, 10° ≤ 2θ ≤ 90°:
2θ (°)	Rel. int.
23.05	32
26.06	36
33.62	100
40.48	47
49.44	8
53.61	26
65.74	21
69.27	24
73.64	8
82.33	9

```
Li2NdYGe2
1.0
4.456 0.000 0.000
-2.228 3.859 0.000
0.000 0.000 7.374
Li Nd Y Ge
2 1 1 2
Direct
0.333 0.667 0.224
0.667 0.333 0.776
0.000 0.000 0.500
0.000 0.000 0.000
0.333 0.667 0.760
0.667 0.333 0.240
```


No. 3
Starting from a cell relaxed with GGA-PBE, the PXRD pattern of LiNb2Te4Cl10O was computed for Cu Kα, 1.54184 Å.
Lines closer than 0.1° are merged.

Largest 10 diffraction maxima, low angle first, 10° ≤ 2θ ≤ 90°:
2θ (°)	Rel. int.
12.94	20
14.35	23
14.75	28
15.43	100
17.78	41
19.36	41
22.71	33
29.75	25
30.38	27
33.79	30

```
LiNb2Te4Cl10O
1.0
7.277 0.000 0.000
1.901 8.699 0.000
0.080 1.241 9.490
Li Nb Te Cl O
1 2 4 10 1
Direct
0.000 0.000 0.000
0.032 0.652 0.044
0.095 0.929 0.314
0.365 0.395 0.506
0.441 0.127 0.691
0.613 0.517 0.649
0.666 0.261 0.848
0.122 0.121 0.471
0.190 0.808 0.871
0.246 0.075 0.129
0.319 0.487 0.111
0.402 0.779 0.386
0.747 0.852 0.961
0.804 0.096 0.225
0.852 0.529 0.203
0.947 0.792 0.489
0.980 0.501 0.861
0.067 0.796 0.175
```


No. 4
Starting from a cell relaxed with GGA-PBE, the PXRD pattern of RbBa2In2 was computed for Cu Kα, 1.54184 Å.
Lines closer than 0.1° are merged.

Largest 10 diffraction maxima, low angle first, 10° ≤ 2θ ≤ 90°:
2θ (°)	Rel. int.
12.07	12
27.19	56
29.28	100
34.60	13
36.77	11
38.39	10
42.30	10
52.63	29
53.18	17
86.05	9

```
RbBa2In2
1.0
10.371 0.000 0.000
0.000 10.371 0.000
0.000 0.000 4.048
Rb Ba In
2 4 4
Direct
0.000 0.000 0.000
0.500 0.500 0.000
0.145 0.355 0.000
0.355 0.855 0.000
0.645 0.145 0.000
0.855 0.645 0.000
0.149 0.649 0.500
0.351 0.149 0.500
0.649 0.851 0.500
0.851 0.351 0.500
```